1.
Starting from a GGA-PBE-relaxed structure, the powder diffractogram of BaAu2 was computed for Cu Ka.
Peak positions follow from Bragg's law for the DFT cell and can differ from measured ones.

Atomic structure:
Cell: 4.9063 4.9063 4.2447 Å, 90.00 90.00 120.00°
Space group P6/mmm (No. 191)
One atom of each set of equivalent atoms:
Ba (0.0000, 0.0000, 0.0000) [1 per cell]
Au (0.3333, 0.6667, 0.5000) [2 per cell]

Principal peaks in the range 2θ from 10° to 90°, in order of falling intensity:
- (1 0 1), 2θ 29.75, intensity 100
- (1 1 0), 2θ 36.63, intensity 74
- (0 0 2), 2θ 42.58, intensity 42
- (1 1 2), 2θ 57.41, intensity 41
- (0 0 1), 2θ 20.93, intensity 29
- (2 0 1), 2θ 47.88, intensity 28

---

2.
Starting from a GGA-PBE-relaxed structure, the powder diffractogram of MgSb2O6 was computed for Cu Ka.
Peak positions follow from Bragg's law for the DFT cell and can differ from measured ones.

Atomic structure:
Cell: 4.729 4.729 9.385 Å, 90.00 90.00 90.00°
Space group P4_2/mnm (No. 136)
One atom of each set of equivalent atoms:
Mg (0.000, 0.000, 0.000) [2 per cell]
Sb (0.000, 0.000, 0.332) [4 per cell]
O (0.190, 0.190, 0.500) [4 per cell]
O (0.198, 0.198, 0.171) [8 per cell]

Principal peaks in the range 2θ from 10° to 90°, in order of falling intensity:
- (1 1 0), 2θ 26.66, intensity 100
- (1 0 3), 2θ 34.37, intensity 71
- (2 1 3), 2θ 52.21, intensity 65
- (1 0 1), 2θ 21.04, intensity 42
- (3 0 3), 2θ 66.41, intensity 21
- (2 0 0), 2θ 38.06, intensity 18

---

3.
Starting from a GGA-PBE-relaxed structure, the powder diffractogram of Na4NbGaSi3O12 was computed for Cu Ka.
Peak positions follow from Bragg's law for the DFT cell and can differ from measured ones.

Atomic structure:
Cell: 9.0611 9.0611 22.2014 Å, 90.00 90.00 120.00°
Space group R3c (No. 161, hexagonal axes)
One atom of each set of equivalent atoms:
Na (0.0000, 0.0000, 0.0000) [6 per cell]
Na (0.0399, 0.3434, 0.0860) [18 per cell]
Nb (0.0000, 0.0000, 0.1514) [6 per cell]
Ga (0.0000, 0.0000, 0.3557) [6 per cell]
Si (0.0445, 0.3734, 0.9233) [18 per cell]
O (0.0211, 0.1845, 0.9161) [18 per cell]
O (0.0344, 0.2002, 0.1969) [18 per cell]
O (0.1638, 0.4605, 0.9817) [18 per cell]
O (0.1722, 0.4781, 0.2601) [18 per cell]

Principal peaks in the range 2θ from 10° to 90°, in order of falling intensity:
- (1 0 4), 2θ 19.59, intensity 100
- (1 1 6), 2θ 31.21, intensity 81
- (3 0 0), 2θ 34.28, intensity 52
- (2 2 6), 2θ 47.03, intensity 37
- (1 4 6), 2θ 59.48, intensity 31
- (0 2 4), 2θ 27.85, intensity 27

---

4.
Starting from a GGA-PBE-relaxed structure, the powder diffractogram of MnI2 was computed for Cu Ka.
Peak positions follow from Bragg's law for the DFT cell and can differ from measured ones.

Atomic structure:
Cell: 4.1644 4.1644 7.6487 Å, 90.00 90.00 120.00°
Space group P-3m1 (No. 164)
One atom of each set of equivalent atoms:
Mn (0.0000, 0.0000, 0.0000) [1 per cell]
I (0.3333, 0.6667, 0.2156) [2 per cell]

Principal peaks in the range 2θ from 10° to 90°, in order of falling intensity:
- (0 1 1), 2θ 27.34, intensity 100
- (1 1 0), 2θ 43.47, intensity 57
- (0 1 2), 2θ 34.17, intensity 45
- (0 0 1), 2θ 11.57, intensity 34
- (3 0 0), 2θ 79.78, intensity 19
- (2 0 1), 2θ 52.11, intensity 16

---

5.
Starting from a GGA-PBE-relaxed structure, the powder diffractogram of Pr3Ni2Sn7 was computed for Cu Ka.
Peak positions follow from Bragg's law for the DFT cell and can differ from measured ones.

Atomic structure:
Cell: 4.641 28.044 5.463 Å, 90.00 90.00 90.00°
Space group Cmmm (No. 65)
One atom of each set of equivalent atoms:
Pr (0.000, 0.000, 0.000) [2 per cell]
Pr (0.000, 0.189, 0.500) [4 per cell]
Ni (0.000, 0.369, 0.000) [4 per cell]
Sn (0.000, 0.000, 0.500) [2 per cell]
Sn (0.000, 0.109, 0.000) [4 per cell]
Sn (0.000, 0.281, 0.000) [4 per cell]
Sn (0.000, 0.412, 0.500) [4 per cell]

Principal peaks in the range 2θ from 10° to 90°, in order of falling intensity:
- (1 5 1), 2θ 29.87, intensity 100
- (0 0 2), 2θ 32.79, intensity 56
- (2 0 0), 2θ 38.81, intensity 36
- (0 8 1), 2θ 30.29, intensity 32
- (2 0 2), 2θ 51.69, intensity 31
- (1 3 1), 2θ 26.95, intensity 28

---

6.
Starting from a GGA-PBE-relaxed structure, the powder diffractogram of LiCu2F6 was computed for Cu Ka.
Peak positions follow from Bragg's law for the DFT cell and can differ from measured ones.

Atomic structure:
Cell: 5.621 4.587 15.500 Å, 90.00 99.68 90.00°
Space group P2_1/c (No. 14)
One atom of each set of equivalent atoms:
Li (0.121, 0.007, 0.424) [4 per cell]
Cu (0.242, 0.515, 0.248) [4 per cell]
Cu (0.383, 0.005, 0.082) [4 per cell]
F (0.039, 0.719, 0.803) [4 per cell]
F (0.134, 0.245, 0.531) [4 per cell]
F (0.178, 0.741, 0.140) [4 per cell]
F (0.334, 0.209, 0.857) [4 per cell]
F (0.383, 0.730, 0.474) [4 per cell]
F (0.457, 0.238, 0.196) [4 per cell]

Principal peaks in the range 2θ from 10° to 90°, in order of falling intensity:
- (1 1 -1), 2θ 25.26, intensity 100
- (1 1 -3), 2θ 29.18, intensity 94
- (1 1 3), 2θ 32.35, intensity 69
- (0 1 1), 2θ 20.21, intensity 56
- (0 2 6), 2θ 53.79, intensity 42
- (2 2 -4), 2θ 54.87, intensity 41

---

7.
Starting from a GGA-PBE-relaxed structure, the powder diffractogram of Tb2CuGe2O8 was computed for Cu Ka.
Peak positions follow from Bragg's law for the DFT cell and can differ from measured ones.

Atomic structure:
Cell: 9.658 15.127 5.155 Å, 90.00 121.48 90.00°
Space group Cm (No. 8)
One atom of each set of equivalent atoms:
Tb (0.000, 0.120, 0.000) [4 per cell]
Tb (0.003, 0.379, 0.494) [4 per cell]
Cu (0.214, 0.293, 0.195) [4 per cell]
Ge (0.243, 0.500, 0.191) [2 per cell]
Ge (0.247, 0.000, 0.793) [2 per cell]
Ge (0.258, 0.210, 0.735) [4 per cell]
O (0.073, 0.000, 0.827) [2 per cell]
O (0.077, 0.500, 0.805) [2 per cell]
O (0.087, 0.241, 0.367) [4 per cell]
O (0.238, 0.406, 0.399) [4 per cell]
O (0.246, 0.092, 0.571) [4 per cell]
O (0.249, 0.170, 0.059) [4 per cell]
O (0.255, 0.329, 0.887) [4 per cell]
O (0.416, 0.000, 0.170) [2 per cell]
O (0.417, 0.500, 0.152) [2 per cell]
O (0.441, 0.234, 0.741) [4 per cell]

Principal peaks in the range 2θ from 10° to 90°, in order of falling intensity:
- (1 1 1), 2θ 28.17, intensity 100
- (1 5 -1), 2θ 34.37, intensity 97
- (3 1 -1), 2θ 28.54, intensity 96
- (2 4 0), 2θ 32.13, intensity 89
- (0 4 2), 2θ 47.86, intensity 47
- (4 4 -2), 2θ 48.33, intensity 46

---

8.
Starting from a GGA-PBE-relaxed structure, the powder diffractogram of Tb2Ni7 was computed for Cu Ka.
Peak positions follow from Bragg's law for the DFT cell and can differ from measured ones.

Atomic structure:
Cell: 4.9243 4.9243 24.1080 Å, 90.00 90.00 120.00°
Space group P6_3/mmc (No. 194)
One atom of each set of equivalent atoms:
Tb (0.3333, 0.6667, 0.0296) [4 per cell]
Tb (0.3333, 0.6667, 0.1742) [4 per cell]
Ni (0.0000, 0.0000, 0.0000) [2 per cell]
Ni (0.0000, 0.0000, 0.1681) [4 per cell]
Ni (0.1668, 0.3337, 0.5861) [12 per cell]
Ni (0.1669, 0.3338, 0.7500) [6 per cell]
Ni (0.3333, 0.6667, 0.6676) [4 per cell]

Principal peaks in the range 2θ from 10° to 90°, in order of falling intensity:
- (1 1 6), 2θ 43.09, intensity 100
- (1 0 7), 2θ 33.44, intensity 67
- (1 1 0), 2θ 36.49, intensity 53
- (2 0 1), 2θ 42.56, intensity 32
- (3 0 6), 2θ 70.24, intensity 26
- (2 0 5), 2θ 46.58, intensity 23

---

9.
Starting from a GGA-PBE-relaxed structure, the powder diffractogram of As was computed for Cu Ka.
Peak positions follow from Bragg's law for the DFT cell and can differ from measured ones.

Atomic structure:
Cell: 4.267 4.267 4.267 Å, 90.00 90.00 90.00°
Space group Fm-3m (No. 225)
One atom of each set of equivalent atoms:
As (0.000, 0.000, 0.000) [4 per cell]

Principal peaks in the range 2θ from 10° to 90°, in order of falling intensity:
- (1 1 1), 2θ 36.48, intensity 100
- (2 0 0), 2θ 42.37, intensity 49
- (3 1 1), 2θ 73.63, intensity 37
- (2 2 0), 2θ 61.47, intensity 32
- (2 2 2), 2θ 77.50, intensity 11